(1)
Structure and simulated powder diffractogram of CsCoPdCl6 (the PBE geometry in Alexandria; Cu Kα (λ = 1.5418 Å)).
Kinematic intensities with the Lorentz-polarization factor, no thermal factor.

Cell and atoms:
Lattice parameters (Å, degrees): 6.353 6.357 7.803 91.60 91.65 116.59
Space group P1 (No. 1)
Asymmetric unit:
Cs  0.000  0.000  0.000 x1
Co  0.332  0.672  0.500 x1
Pd  0.676  0.327  0.500 x1
Cl  0.006  0.356  0.667 x1
Cl  0.039  0.625  0.310 x1
Cl  0.375  0.963  0.690 x1
Cl  0.389  0.366  0.326 x1
Cl  0.635  0.613  0.673 x1
Cl  0.646  0.996  0.334 x1

Main lines, low angle first (2θ from 5° to 70°):
h k l  two_theta  I_rel
0 0 1  11.36  65
1 0 -1  18.91  100
1 0 1  19.77  86
1 -1 1  19.99  94
1 1 -2  34.45  56
2 -1 2  37.01  81

***

(2)
Structure and simulated powder diffractogram of BeSb2IBr (the PBE geometry in Alexandria; Cu Kα (λ = 1.5418 Å)).
Kinematic intensities with the Lorentz-polarization factor, no thermal factor.

Cell and atoms:
Lattice parameters (Å, degrees): 5.094 5.094 5.145 90.00 90.00 90.00
Space group P4/mmm (No. 123)
Asymmetric unit:
Be  0.000  0.000  0.000 x1
Sb  0.000  0.500  0.000 x2
I  0.000  0.000  0.500 x1
Br  0.500  0.500  0.500 x1

Main lines, low angle first (2θ from 5° to 70°):
h k l  two_theta  I_rel
1 1 1  30.29  100
0 0 2  34.88  18
2 0 0  35.24  35
2 0 2  50.42  25
1 1 3  59.72  14
3 1 1  60.20  27

***

(3)
Structure and simulated powder diffractogram of Pr7SiSe5 (the PBE geometry in Alexandria; Cu Kα (λ = 1.5418 Å)).
Kinematic intensities with the Lorentz-polarization factor, no thermal factor.

Cell and atoms:
Lattice parameters (Å, degrees): 13.941 4.223 25.078 90.00 90.03 90.00
Space group Cm (No. 8)
Asymmetric unit:
Pr  0.000  0.000  0.000 x2
Pr  0.000  0.000  0.136 x2
Pr  0.057  0.500  0.856 x2
Pr  0.058  0.500  0.280 x2
Pr  0.103  0.000  0.701 x2
Pr  0.105  0.000  0.434 x2
Pr  0.160  0.500  0.568 x2
Pr  0.232  0.500  0.068 x2
Pr  0.288  0.000  0.201 x2
Pr  0.288  0.000  0.935 x2
Pr  0.334  0.500  0.780 x2
Pr  0.335  0.500  0.356 x2
Pr  0.392  0.000  0.636 x2
Pr  0.393  0.000  0.500 x2
Si  0.008  0.000  0.568 x2
Si  0.384  0.000  0.068 x2
Se  0.143  0.500  0.174 x2
Se  0.143  0.500  0.962 x2
Se  0.196  0.000  0.318 x2
Se  0.196  0.000  0.818 x2
Se  0.249  0.500  0.674 x2
Se  0.250  0.500  0.462 x2
Se  0.420  0.500  0.245 x2
Se  0.420  0.500  0.890 x2
Se  0.472  0.000  0.745 x2
Se  0.473  0.000  0.391 x2

Main lines, low angle first (2θ from 5° to 70°):
h k l  two_theta  I_rel
2 0 7  28.00  75
3 1 1  28.79  41
3 1 2  29.45  93
3 1 -3  30.54  64
2 0 -8  31.29  48
0 2 0  42.85  100

***

(4)
Structure and simulated powder diffractogram of LiCeP4O12 (the PBE geometry in Alexandria; Cu Kα (λ = 1.5418 Å)).
Kinematic intensities with the Lorentz-polarization factor, no thermal factor.

Cell and atoms:
Lattice parameters (Å, degrees): 16.739 7.207 9.978 90.00 126.48 90.00
Space group C2/c (No. 15)
Asymmetric unit:
Li  0.000  0.201  0.250 x4
Ce  0.000  0.301  0.750 x4
P  0.139  0.058  0.163 x8
P  0.148  0.339  0.597 x8
O  0.067  0.009  0.204 x8
O  0.076  0.400  0.419 x8
O  0.114  0.217  0.047 x8
O  0.128  0.383  0.721 x8
O  0.160  0.117  0.589 x8
O  0.244  0.089  0.341 x8

Main lines, low angle first (2θ from 5° to 70°):
h k l  two_theta  I_rel
2 0 0  13.16  38
1 1 1  20.12  100
4 0 -2  22.19  78
0 2 1  27.13  43
5 1 -1  30.65  37
2 0 2  32.08  56

***

(5)
Structure and simulated powder diffractogram of Pm2Er2Ni15 (the PBE geometry in Alexandria; Cu Kα (λ = 1.5418 Å)).
Kinematic intensities with the Lorentz-polarization factor, no thermal factor.

Cell and atoms:
Lattice parameters (Å, degrees): 8.5595 8.5595 12.6524 90.00 90.00 120.00
Space group R-3m (No. 166, hexagonal axes)
Asymmetric unit:
Pm  0.0000  0.0000  0.1414 x6
Er  0.0000  0.0000  0.3894 x6
Ni  0.0000  0.3056  0.5000 x18
Ni  0.0000  0.5000  0.0000 x9
Ni  0.0082  0.5041  0.6568 x18

Main lines, low angle first (2θ from 5° to 70°):
h k l  two_theta  I_rel
1 0 4  30.73  56
3 0 0  36.36  88
0 2 4  37.38  70
2 2 0  42.23  100
0 3 3  42.40  78
2 1 4  43.13  65

***

(6)
Structure and simulated powder diffractogram of Zn3Ga6Tc (the PBE geometry in Alexandria; Cu Kα (λ = 1.5418 Å)).
Kinematic intensities with the Lorentz-polarization factor, no thermal factor.

Cell and atoms:
Lattice parameters (Å, degrees): 6.825 7.290 7.009 90.00 97.10 90.00
Space group C2/m (No. 12)
Asymmetric unit:
Zn  0.000  0.000  0.000 x2
Zn  0.230  0.000  0.748 x4
Ga  0.125  0.184  0.352 x8
Ga  0.128  0.500  0.870 x4
Tc  0.000  0.500  0.500 x2

Main lines, low angle first (2θ from 5° to 70°):
h k l  two_theta  I_rel
0 2 0  24.42  34
2 2 -1  37.37  35
2 0 2  39.37  100
1 1 -3  41.47  75
1 3 1  42.10  44
3 1 -1  42.39  71

***

(7)
Structure and simulated powder diffractogram of ZrMn2Pb (the PBE geometry in Alexandria; Cu Kα (λ = 1.5418 Å)).
Kinematic intensities with the Lorentz-polarization factor, no thermal factor.

Cell and atoms:
Lattice parameters (Å, degrees): 3.171 3.171 7.548 90.00 90.00 90.00
Space group P4mm (No. 99)
Asymmetric unit:
Zr  0.000  0.000  0.000 x1
Mn  0.000  0.000  0.404 x1
Mn  0.500  0.500  0.249 x1
Pb  0.500  0.500  0.678 x1

Main lines, low angle first (2θ from 5° to 70°):
h k l  two_theta  I_rel
0 0 1  11.72  26
1 0 1  30.58  54
0 0 3  35.69  20
1 0 2  37.03  100
1 1 0  40.22  50
1 1 3  54.85  23

***

(8)
Structure and simulated powder diffractogram of V3TcP (the PBE geometry in Alexandria; Cu Kα (λ = 1.5418 Å)).
Kinematic intensities with the Lorentz-polarization factor, no thermal factor.

Cell and atoms:
Lattice parameters (Å, degrees): 4.879 4.731 6.005 90.00 90.00 90.00
Space group Pmn2_1 (No. 31)
Asymmetric unit:
V  0.000  0.209  0.000 x2
V  0.250  0.318  0.374 x4
Tc  0.000  0.773  0.267 x2
P  0.000  0.002  0.627 x2

Main lines, low angle first (2θ from 5° to 70°):
h k l  two_theta  I_rel
1 0 1  23.49  43
0 2 0  38.04  29
1 1 2  40.08  71
2 1 1  44.42  100
1 2 1  45.20  38
0 1 3  49.44  27

***

(9)
Structure and simulated powder diffractogram of RbNaIrO4 (the PBE geometry in Alexandria; Cu Kα (λ = 1.5418 Å)).
Kinematic intensities with the Lorentz-polarization factor, no thermal factor.

Cell and atoms:
Lattice parameters (Å, degrees): 6.306 6.306 7.908 90.00 90.00 90.00
Space group I-4 (No. 82)
Asymmetric unit:
Rb  0.000  0.000  0.000 x2
Na  0.000  0.000  0.500 x2
Ir  0.000  0.500  0.750 x2
O  0.142  0.270  0.666 x8

Main lines, low angle first (2θ from 5° to 70°):
h k l  two_theta  I_rel
1 0 1  17.99  100
2 0 0  28.31  24
1 1 2  30.21  56
2 1 1  33.74  31
1 0 3  36.96  15
3 1 2  51.31  24

***

(10)
Structure and simulated powder diffractogram of NdAg2Te3 (the PBE geometry in Alexandria; Cu Kα (λ = 1.5418 Å)).
Kinematic intensities with the Lorentz-polarization factor, no thermal factor.

Cell and atoms:
Lattice parameters (Å, degrees): 7.253 4.397 11.831 90.00 93.83 90.00
Space group P2_1/m (No. 11)
Asymmetric unit:
Nd  0.193  0.250  0.316 x2
Ag  0.062  0.750  0.088 x2
Ag  0.437  0.250  0.577 x2
Te  0.152  0.750  0.859 x2
Te  0.197  0.750  0.525 x2
Te  0.424  0.750  0.197 x2

Main lines, low angle first (2θ from 5° to 70°):
h k l  two_theta  I_rel
1 0 -1  13.92  93
1 1 -1  24.61  100
1 1 -3  32.37  84
1 0 4  33.55  89
0 2 0  41.05  91
3 1 1  43.94  56

***

(11)
Structure and simulated powder diffractogram of TbDy6Co3 (the PBE geometry in Alexandria; Cu Kα (λ = 1.5418 Å)).
Kinematic intensities with the Lorentz-polarization factor, no thermal factor.

Cell and atoms:
Lattice parameters (Å, degrees): 11.460 12.179 7.220 90.00 90.00 90.00
Space group Cmc2_1 (No. 36)
Asymmetric unit:
Tb  0.000  0.187  0.000 x4
Dy  0.000  0.168  0.501 x4
Dy  0.000  0.496  0.252 x4
Dy  0.214  0.000  0.001 x8
Dy  0.249  0.250  0.252 x8
Co  0.000  0.000  0.251 x4
Co  0.110  0.361  0.505 x8

Main lines, low angle first (2θ from 5° to 70°):
h k l  two_theta  I_rel
0 4 0  29.33  16
4 0 0  31.22  24
3 3 0  32.18  21
2 2 2  32.80  100
5 1 2  47.57  17
0 0 4  50.56  15

***

(12)
Structure and simulated powder diffractogram of Sr5PuN5 (the PBE geometry in Alexandria; Cu Kα (λ = 1.5418 Å)).
Kinematic intensities with the Lorentz-polarization factor, no thermal factor.

Cell and atoms:
Lattice parameters (Å, degrees): 11.733 5.203 7.450 90.00 107.41 90.00
Space group C2/m (No. 12)
Asymmetric unit:
Sr  0.000  0.000  0.000 x2
Sr  0.168  0.500  0.803 x4
Sr  0.171  0.500  0.345 x4
Pu  0.000  0.000  0.500 x2
N  0.000  0.500  0.500 x2
N  0.132  0.000  0.765 x4
N  0.136  0.000  0.358 x4

Main lines, low angle first (2θ from 5° to 70°):
h k l  two_theta  I_rel
0 0 1  12.45  24
3 1 0  29.48  100
2 0 2  33.67  24
4 0 -2  34.34  23
0 2 0  34.48  25
2 2 2  48.95  23